1.
Calculated PXRD pattern of Cs2YTlI6 for Cu Ka, from a DFT-relaxed cell (PBE, Alexandria).

Crystal structure
Unit cell a=9.0470 b=9.0470 c=9.0470 alpha=60.00 beta=60.00 gamma=60.00
Positions (direct):
Cs1 0.2500 0.2500 0.2500
Cs2 0.7500 0.7500 0.7500
Y1 0.0000 0.0000 0.0000
Tl1 0.5000 0.5000 0.5000
I1 0.2366 0.2366 0.7634
I2 0.2366 0.7634 0.2366
I3 0.2366 0.7634 0.7634
I4 0.7634 0.2366 0.2366
I5 0.7634 0.2366 0.7634
I6 0.7634 0.7634 0.2366

The 12 most intense peaks (15 to 90 degrees two-theta), most intense first:
Position (°2θ)	Rel. int.
27.9	100
39.9	74
24.1	59
65.2	32
19.6	26
49.3	26
47.1	26
72.4	23
31.3	13
57.6	12
34.3	12
63.4	10

2.
Calculated PXRD pattern of Hf5Hg2N for Cu Ka, from a DFT-relaxed cell (PBE, Alexandria).

Crystal structure
Unit cell a=6.2249 b=6.2249 c=8.6346 alpha=90.00 beta=90.00 gamma=90.00
Positions (direct):
Hf1 0.0000 0.0000 0.0000
Hf2 0.2446 0.2446 0.7424
Hf3 0.2446 0.7554 0.7424
Hf4 0.2554 0.2554 0.2424
Hf5 0.2554 0.7446 0.2424
Hf6 0.5000 0.5000 0.5000
Hf7 0.7446 0.2554 0.2424
Hf8 0.7446 0.7446 0.2424
Hf9 0.7554 0.2446 0.7424
Hf10 0.7554 0.7554 0.7424
Hg1 0.0000 0.5000 0.4912
Hg2 0.0000 0.5000 0.9912
Hg3 0.5000 0.0000 0.4912
Hg4 0.5000 0.0000 0.9912
N1 0.0000 0.0000 0.7292
N2 0.5000 0.5000 0.2292

The 12 most intense peaks (15 to 90 degrees two-theta), most intense first:
Position (°2θ)	Rel. int.
35.6	100
41.0	35
71.2	27
60.0	23
41.8	17
72.3	13
59.4	12
75.3	12
17.6	11
29.0	6
20.2	5
33.8	4